Starting from a structure optimized by DFT (GGA-PBE), the powder diffraction line list of NdGaPbSe3 was simulated for CuKα.
Lines closer than 0.1° are merged.

Structural model:
Lattice parameters (Å, degrees): 4.4191 14.1560 10.6341 90.00 90.00 90.00
Space group Cmcm (No. 63)
Inequivalent atoms, fractional coordinates:
Nd: 0.0000 0.0000 0.0000 x4
Ga: 0.0000 0.4644 0.2500 x4
Pb: 0.0000 0.2596 0.7500 x4
Se: 0.0000 0.0985 0.2500 x4
Se: 0.0000 0.3567 0.0436 x8

Top 8 peaks for 5 to 70 degrees two-theta, in order of rising 2θ:
d_spacing	intensity
4.251	46
3.087	100
2.758	62
2.714	33
2.659	48
2.210	37
2.175	38
2.157	35

Starting from a structure optimized by DFT (GGA-PBE), the powder diffraction line list of PrNdGa6 was simulated for CuKα.
Lines closer than 0.1° are merged.

Structural model:
Lattice parameters (Å, degrees): 6.4925 6.4925 4.5589 90.00 90.00 120.00
Space group P-6m2 (No. 187)
Inequivalent atoms, fractional coordinates:
Pr: 0.0000 0.0000 0.0000 x1
Nd: 0.6667 0.3333 0.5000 x1
Ga: 0.0468 0.5234 0.0000 x3
Ga: 0.1908 0.3817 0.5000 x3

Top 8 peaks for 5 to 70 degrees two-theta, in order of rising 2θ:
d_spacing	intensity
3.541	21
3.246	9
2.811	26
2.393	100
2.279	21
2.125	9
1.771	13
1.623	16

Starting from a structure optimized by DFT (GGA-PBE), the powder diffraction line list of NdScGa4Pt2 was simulated for CuKα.
Lines closer than 0.1° are merged.

Structural model:
Lattice parameters (Å, degrees): 6.7229 4.3500 10.1585 90.00 90.00 90.00
Space group Amm2 (No. 38)
Inequivalent atoms, fractional coordinates:
Nd: 0.0000 0.0000 0.0000 x2
Sc: 0.5000 0.0000 0.8332 x2
Ga: 0.2063 0.0000 0.2902 x4
Ga: 0.3071 0.0000 0.5517 x4
Pt: 0.0000 0.0000 0.7125 x2
Pt: 0.5000 0.0000 0.1216 x2

Top 8 peaks for 5 to 70 degrees two-theta, in order of rising 2θ:
d_spacing	intensity
5.079	41
3.437	48
2.573	85
2.483	100
2.376	50
2.175	52
2.092	57
1.955	42

Starting from a structure optimized by DFT (GGA-PBE), the powder diffraction line list of TbNdGa4Pt2 was simulated for CuKα.
Lines closer than 0.1° are merged.

Structural model:
Lattice parameters (Å, degrees): 6.7653 4.4038 10.3514 90.00 90.00 90.00
Space group Amm2 (No. 38)
Inequivalent atoms, fractional coordinates:
Tb: 0.0000 0.0000 0.0000 x2
Nd: 0.5000 0.0000 0.1662 x2
Ga: 0.1945 0.0000 0.7170 x4
Ga: 0.3015 0.0000 0.4522 x4
Pt: 0.0000 0.0000 0.2887 x2
Pt: 0.5000 0.0000 0.8785 x2

Top 8 peaks for 5 to 70 degrees two-theta, in order of rising 2θ:
d_spacing	intensity
3.383	30
2.597	79
2.521	100
2.417	46
2.202	43
2.118	35
1.971	21
1.628	28